Starting from a GGA+U-relaxed structure, the powder diffractogram of LiMn2P2H4O10 was simulated for Cu Kα (weighted mean of Kα1 and Kα2).

Principal peaks in the range 10 to 90 degrees two-theta, sorted by position:
d (Å)  2theta  I/Imax  index
5.181  17.11  72  0 1 0
4.921  18.03  71  0 1 -1
3.714  23.96  100  0 1 1
3.519  25.31  86  1 0 1
2.985  29.93  69  1 1 -2
2.633  34.05  69  1 -1 2

Structure:
a = 5.0892 Å, b = 5.4849 Å, c = 7.6911 Å
α = 103.58°, β = 104.40°, γ = 99.43°
Space group P1 (No. 1)
Inequivalent atoms, fractional coordinates:
Li: 0.0000 0.0000 0.0000 [1 per cell]
Mn: 0.4179 0.6215 0.0827 [1 per cell]
Mn: 0.8959 0.1093 0.5773 [1 per cell]
P: 0.3241 0.1849 0.3335 [1 per cell]
P: 0.4823 0.0587 0.8282 [1 per cell]
H: 0.0243 0.6411 0.7605 [1 per cell]
H: 0.7873 0.5589 0.3803 [1 per cell]
H: 0.8303 0.4692 0.8541 [1 per cell]
H: 0.9770 0.7507 0.2994 [1 per cell]
O: 0.0135 0.4994 0.8198 [1 per cell]
O: 0.1515 0.9761 0.7641 [1 per cell]
O: 0.1980 0.2526 0.4974 [1 per cell]
O: 0.2138 0.8916 0.2240 [1 per cell]
O: 0.2359 0.3320 0.1896 [1 per cell]
O: 0.5812 0.3542 0.9112 [1 per cell]
O: 0.5923 0.9668 0.6578 [1 per cell]
O: 0.5935 0.9186 0.9727 [1 per cell]
O: 0.6504 0.2618 0.4146 [1 per cell]
O: 0.8050 0.7219 0.3428 [1 per cell]